Simulated XRD peak list
Compound: CuGe3
Radiation: Cu Kα, 1.54184 Å
Structure: a DFT-relaxed cell (PBE, the Materials Project)
Neutral-atom scattering factors, no anomalous dispersion.

Atomic structure:
a b c (Å): 3.9981 3.9981 8.7045
angles (deg): 90.00 90.00 90.00
Space group I4/mmm (No. 139)
Inequivalent atoms, fractional coordinates:
Cu  0.0000  0.0000  0.0000 (multiplicity 2)
Ge  0.0000  0.0000  0.5000 (multiplicity 2)
Ge  0.0000  0.5000  0.2500 (multiplicity 4)

Main lines, most intense first (10 to 80 degrees two-theta):
| h k l | 2θ (°) | I/Imax |
| --- | --- | --- |
| 1 1 2 | 38.0 | 100 |
| 2 0 0 | 45.4 | 30 |
| 3 1 2 | 78.8 | 22 |
| 2 0 4 | 63.2 | 21 |
| 0 0 4 | 41.5 | 19 |
| 1 1 6 | 73.4 | 14 |
| 2 2 0 | 66.1 | 9 |

Simulated XRD peak list
Compound: SiO2
Radiation: Cu Kα, 1.54184 Å
Structure: a DFT-relaxed cell (PBE, the Materials Project)
Neutral-atom scattering factors, no anomalous dispersion.

Atomic structure:
a b c (Å): 4.4879 4.4879 4.4879
angles (deg): 90.00 90.00 90.00
Space group Pa-3 (No. 205)
Inequivalent atoms, fractional coordinates:
Si  0.0000  0.0000  0.0000 (multiplicity 4)
O  0.1562  0.6562  0.8438 (multiplicity 8)

Main lines, most intense first (10 to 80 degrees two-theta):
| h k l | 2θ (°) | I/Imax |
| --- | --- | --- |
| 1 1 1 | 34.6 | 100 |
| 3 1 1 | 69.5 | 93 |
| 2 1 0 | 45.2 | 74 |
| 2 2 0 | 58.1 | 64 |
| 2 1 1 | 49.8 | 32 |
| 2 0 0 | 40.2 | 24 |
| 2 2 2 | 73.0 | 15 |
| 3 1 2 | 80.0 | 15 |
| 2 2 1 | 62.0 | 6 |
| 3 0 2 | 76.5 | 1 |

Which formula does entry 1 have? CuGe3

Repeat the second record exactly.
Simulated XRD peak list
Compound: SiO2
Radiation: Cu Kα, 1.54184 Å
Structure: a DFT-relaxed cell (PBE, the Materials Project)
Neutral-atom scattering factors, no anomalous dispersion.

Atomic structure:
a b c (Å): 4.4879 4.4879 4.4879
angles (deg): 90.00 90.00 90.00
Space group Pa-3 (No. 205)
Inequivalent atoms, fractional coordinates:
Si  0.0000  0.0000  0.0000 (multiplicity 4)
O  0.1562  0.6562  0.8438 (multiplicity 8)

Main lines, most intense first (10 to 80 degrees two-theta):
| h k l | 2θ (°) | I/Imax |
| --- | --- | --- |
| 1 1 1 | 34.6 | 100 |
| 3 1 1 | 69.5 | 93 |
| 2 1 0 | 45.2 | 74 |
| 2 2 0 | 58.1 | 64 |
| 2 1 1 | 49.8 | 32 |
| 2 0 0 | 40.2 | 24 |
| 2 2 2 | 73.0 | 15 |
| 3 1 2 | 80.0 | 15 |
| 2 2 1 | 62.0 | 6 |
| 3 0 2 | 76.5 | 1 |